No. 1
The following is a theoretical powder diffractogram of CaCuGe2O6. It was derived from a DFT-relaxed cell (PBE, the Materials Project), using Cu Kα (λ = 1.5418 Å).

The 10 most intense peaks (2θ = 10–90°), low angle first:
2theta, I/Imax
19.8, 47
28.5, 52
28.7, 100
29.4, 33
33.7, 88
34.4, 59
39.6, 26
40.3, 21
53.4, 30
63.7, 20

Crystal structure
```
CaCuGe2O6
1.0
10.260 0.000 0.000
0.000 9.343 0.000
-1.246 0.000 5.110
Ca Cu Ge O
4 4 8 24
Direct
0.215 0.046 0.030
0.215 0.454 0.530
0.785 0.546 0.470
0.785 0.954 0.970
0.275 0.659 0.029
0.275 0.841 0.529
0.725 0.159 0.471
0.725 0.341 0.971
0.006 0.149 0.418
0.006 0.351 0.918
0.450 0.150 0.655
0.450 0.350 0.155
0.550 0.650 0.845
0.550 0.850 0.345
0.994 0.649 0.082
0.994 0.851 0.582
0.065 0.522 0.825
0.065 0.978 0.325
0.099 0.249 0.192
0.099 0.251 0.692
0.162 0.679 0.278
0.162 0.821 0.778
0.350 0.015 0.729
0.350 0.485 0.229
0.374 0.634 0.761
0.374 0.866 0.261
0.397 0.193 0.309
0.397 0.307 0.809
0.603 0.693 0.191
0.603 0.807 0.691
0.626 0.134 0.739
0.626 0.366 0.239
0.650 0.515 0.771
0.650 0.985 0.271
0.838 0.179 0.222
0.838 0.321 0.722
0.901 0.749 0.308
0.901 0.751 0.808
0.935 0.022 0.675
0.935 0.478 0.175
```

No. 2
The following is a theoretical powder diffractogram of Na3Pd. It was derived from a DFT-relaxed cell (PBE, the Materials Project), using Cu Kα (λ = 1.5418 Å).

The 10 most intense peaks (2θ = 10–90°), low angle first:
2theta, I/Imax
21.3, 51
24.6, 27
35.1, 100
41.4, 27
50.5, 17
55.4, 11
56.9, 11
63.0, 34
74.2, 10
84.8, 14

Crystal structure
```
Na3Pd
1.0
7.232 0.000 0.000
0.000 7.232 0.000
0.000 0.000 7.232
Na Pd
12 4
Direct
0.000 0.000 0.000
0.000 0.500 0.500
0.250 0.250 0.250
0.250 0.250 0.750
0.250 0.750 0.250
0.250 0.750 0.750
0.500 0.000 0.500
0.500 0.500 0.000
0.750 0.250 0.250
0.750 0.250 0.750
0.750 0.750 0.250
0.750 0.750 0.750
0.000 0.000 0.500
0.000 0.500 0.000
0.500 0.000 0.000
0.500 0.500 0.500
```

No. 3
The following is a theoretical powder diffractogram of Pb3N2. It was derived from a DFT-relaxed cell (PBE, the Materials Project), using Cu Kα (λ = 1.5418 Å).

The 10 most intense peaks (2θ = 10–90°), low angle first:
2theta, I/Imax
27.3, 57
28.3, 63
28.4, 100
30.9, 73
33.0, 23
34.0, 30
37.0, 50
51.0, 21
51.4, 34
59.7, 43

Crystal structure
```
Pb3N2
1.0
10.863 0.000 0.000
0.000 3.556 0.000
0.000 0.000 12.625
Pb N
12 8
Direct
0.037 0.250 0.115
0.084 0.750 0.598
0.223 0.750 0.361
0.277 0.250 0.861
0.416 0.250 0.098
0.463 0.750 0.615
0.537 0.250 0.385
0.584 0.750 0.902
0.723 0.750 0.139
0.777 0.250 0.639
0.916 0.250 0.402
0.963 0.750 0.885
0.089 0.250 0.935
0.117 0.250 0.470
0.383 0.750 0.970
0.411 0.750 0.435
0.589 0.250 0.565
0.617 0.250 0.030
0.883 0.750 0.530
0.911 0.750 0.065
```

No. 4
The following is a theoretical powder diffractogram of AlV2C. It was derived from a DFT-relaxed cell (PBE, the Materials Project), using Cu Kα (λ = 1.5418 Å).

The 10 most intense peaks (2θ = 10–90°), low angle first:
2theta, I/Imax
13.5, 23
35.6, 15
36.3, 5
41.4, 100
45.4, 3
55.7, 14
64.0, 16
75.4, 14
79.1, 23
89.9, 5

Crystal structure
```
AlV2C
1.0
2.910 0.000 0.000
-1.455 2.520 0.000
0.000 0.000 13.097
Al V C
2 4 2
Direct
0.333 0.667 0.250
0.667 0.333 0.750
0.333 0.667 0.586
0.333 0.667 0.914
0.667 0.333 0.086
0.667 0.333 0.414
0.000 0.000 0.000
0.000 0.000 0.500
```

No. 5
The following is a theoretical powder diffractogram of Na3TiZnP3O12. It was derived from a DFT-relaxed cell (PBE, the Materials Project), using Cu Kα (λ = 1.5418 Å).

The 10 most intense peaks (2θ = 10–90°), low angle first:
2theta, I/Imax
19.9, 100
23.4, 65
23.6, 32
28.5, 26
30.9, 29
31.8, 53
31.9, 47
32.1, 44
34.8, 87
54.4, 25

Crystal structure
```
Na3TiZnP3O12
1.0
7.684 -4.463 0.000
7.684 4.463 0.000
-5.012 0.000 7.242
Na Ti Zn P O
6 2 2 6 24
Direct
0.059 0.941 0.500
0.207 0.661 0.068
0.572 0.792 0.325
0.661 0.207 0.568
0.792 0.572 0.825
0.941 0.059 0.000
0.047 0.532 0.236
0.532 0.047 0.736
0.337 0.834 0.937
0.834 0.337 0.437
0.142 0.230 0.848
0.230 0.142 0.348
0.427 0.648 0.538
0.648 0.427 0.038
0.731 0.930 0.135
0.930 0.731 0.635
0.074 0.162 0.390
0.084 0.770 0.817
0.131 0.413 0.015
0.162 0.074 0.890
0.178 0.316 0.299
0.254 0.636 0.358
0.263 0.964 0.186
0.316 0.178 0.799
0.377 0.689 0.698
0.413 0.131 0.515
0.471 0.591 0.016
0.471 0.818 0.571
0.579 0.879 0.109
0.591 0.471 0.516
0.636 0.254 0.858
0.687 0.972 0.958
0.689 0.377 0.198
0.757 0.914 0.639
0.770 0.084 0.317
0.818 0.471 0.071
0.879 0.579 0.609
0.914 0.757 0.139
0.964 0.263 0.686
0.972 0.687 0.458
```

No. 6
The following is a theoretical powder diffractogram of Nd2CuSi3Rh2. It was derived from a DFT-relaxed cell (PBE, the Materials Project), using Cu Kα (λ = 1.5418 Å).

The 10 most intense peaks (2θ = 10–90°), low angle first:
2theta, I/Imax
24.0, 16
31.3, 14
33.9, 26
34.6, 100
38.4, 12
43.8, 19
44.1, 19
47.8, 11
56.8, 12
63.9, 12

Crystal structure
```
Nd2CuSi3Rh2
1.0
4.103 0.000 0.000
0.000 4.133 0.000
0.000 0.000 17.168
Nd Cu Si Rh
4 2 6 4
Direct
0.000 0.000 0.000
0.000 0.500 0.500
0.500 0.000 0.205
0.500 0.500 0.705
0.500 0.000 0.568
0.500 0.500 0.068
0.000 0.000 0.636
0.000 0.000 0.778
0.000 0.500 0.136
0.000 0.500 0.278
0.500 0.000 0.427
0.500 0.500 0.927
0.000 0.000 0.353
0.000 0.500 0.853
0.500 0.000 0.853
0.500 0.500 0.353
```